Entry 1:
Calculated powder X-ray diffraction pattern of LaTcO4 for a wavelength of 1.5418 Å, from a GGA-PBE-relaxed structure.

Main lines, low angle first (2θ = 15–90°):
2θ/deg  I_rel
24.17  28.3
27.33  35.4
28.16  60.1
29.01  100.0
29.88  42.4
31.74  31.7
38.17  32.7
38.87  30.4
45.84  21.8
50.38  21.4

Structural model:
```
data_LaTcO4
_space_group_name_H-M_alt 'P 1'
_space_group_IT_number 1
_cell_length_a 6.3582
_cell_length_b 7.0420
_cell_length_c 9.3469
_cell_angle_alpha 90.00
_cell_angle_beta 128.01
_cell_angle_gamma 90.00
loop_
_space_group_symop_operation_xyz
'x,y,z'
loop_
_atom_site_label
_atom_site_type_symbol
_atom_site_fract_x
_atom_site_fract_y
_atom_site_fract_z
_atom_site_occupancy
La1 La 0.1256 0.0971 0.3507 1
La2 La 0.1256 0.4029 0.8507 1
La3 La 0.8744 0.5971 0.1493 1
La4 La 0.8744 0.9029 0.6493 1
Tc1 Tc 0.4515 0.6214 0.6936 1
Tc2 Tc 0.4515 0.8786 0.1936 1
Tc3 Tc 0.5485 0.1214 0.8064 1
Tc4 Tc 0.5485 0.3786 0.3064 1
O1 O 0.1717 0.1400 0.6606 1
O2 O 0.1717 0.3600 0.1606 1
O3 O 0.2519 0.0137 0.9852 1
O4 O 0.2519 0.4863 0.4852 1
O5 O 0.2552 0.6990 0.7675 1
O6 O 0.2552 0.8010 0.2675 1
O7 O 0.4570 0.6100 0.1231 1
O8 O 0.4570 0.8900 0.6231 1
O9 O 0.5430 0.1100 0.3769 1
O10 O 0.5430 0.3900 0.8769 1
O11 O 0.7448 0.1990 0.7325 1
O12 O 0.7448 0.3010 0.2325 1
O13 O 0.7481 0.5137 0.5148 1
O14 O 0.7481 0.9863 0.0148 1
O15 O 0.8283 0.6400 0.8394 1
O16 O 0.8283 0.8600 0.3394 1
```

Entry 2:
Calculated powder X-ray diffraction pattern of Ba3Tl2Pb7 for a wavelength of 1.5418 Å, from a GGA-PBE-relaxed structure.

Main lines, low angle first (2θ = 15–90°):
2θ/deg  I_rel
25.53  44.9
29.71  100.0
32.04  22.2
32.97  87.4
34.38  22.2
35.59  92.4
48.63  28.1
51.21  33.3
60.33  30.6
62.26  29.2

Structural model:
```
data_Ba3Tl2Pb7
_space_group_name_H-M_alt 'P 1'
_space_group_IT_number 1
_cell_length_a 17.1353
_cell_length_b 17.1353
_cell_length_c 17.1353
_cell_angle_alpha 163.07
_cell_angle_beta 163.07
_cell_angle_gamma 24.04
loop_
_space_group_symop_operation_xyz
'x,y,z'
loop_
_atom_site_label
_atom_site_type_symbol
_atom_site_fract_x
_atom_site_fract_y
_atom_site_fract_z
_atom_site_occupancy
Ba1 Ba 0.0000 0.0000 0.0000 1
Ba2 Ba 0.1627 0.1627 0.0000 1
Ba3 Ba 0.8373 0.8373 0.0000 1
Tl1 Tl 0.3588 0.3588 0.0000 1
Tl2 Tl 0.6412 0.6412 0.0000 1
Pb1 Pb 0.0781 0.5781 0.5000 1
Pb2 Pb 0.2664 0.2664 0.0000 1
Pb3 Pb 0.4219 0.9219 0.5000 1
Pb4 Pb 0.5000 0.5000 0.0000 1
Pb5 Pb 0.5781 0.0781 0.5000 1
Pb6 Pb 0.7336 0.7336 0.0000 1
Pb7 Pb 0.9219 0.4219 0.5000 1
```

Entry 3:
Calculated powder X-ray diffraction pattern of Ba2CuCN2O2 for a wavelength of 1.5418 Å, from a GGA-PBE-relaxed structure.

Main lines, low angle first (2θ = 15–90°):
2θ/deg  I_rel
20.72  12.1
22.47  23.9
30.75  100.0
31.98  49.5
38.41  22.6
38.87  22.5
45.86  24.6
53.88  10.7
56.23  34.8
61.64  10.9

Structural model:
```
data_Ba2CuCN2O2
_space_group_name_H-M_alt 'P 1'
_space_group_IT_number 1
_cell_length_a 3.9576
_cell_length_b 3.9576
_cell_length_c 8.5732
_cell_angle_alpha 90.00
_cell_angle_beta 90.00
_cell_angle_gamma 90.00
loop_
_space_group_symop_operation_xyz
'x,y,z'
loop_
_atom_site_label
_atom_site_type_symbol
_atom_site_fract_x
_atom_site_fract_y
_atom_site_fract_z
_atom_site_occupancy
Ba1 Ba 0.0000 0.0000 0.2232 1
Ba2 Ba 0.0000 0.0000 0.7768 1
Cu1 Cu 0.5000 0.5000 0.0000 1
C1 C 0.5000 0.5000 0.5000 1
N1 N 0.5000 0.5000 0.3548 1
N2 N 0.5000 0.5000 0.6452 1
O1 O 0.0000 0.5000 0.0000 1
O2 O 0.5000 0.0000 0.0000 1
```

Entry 4:
Calculated powder X-ray diffraction pattern of ThCd11Cu for a wavelength of 1.5418 Å, from a GGA-PBE-relaxed structure.

Main lines, low angle first (2θ = 15–90°):
2θ/deg  I_rel
30.39  25.1
31.01  27.4
31.25  35.5
35.39  48.4
35.66  37.4
36.09  100.0
36.39  93.8
40.04  27.0
64.65  16.3
65.17  21.5

Structural model:
```
data_ThCd11Cu
_space_group_name_H-M_alt 'P 1'
_space_group_IT_number 1
_cell_length_a 7.5934
_cell_length_b 7.5934
_cell_length_c 7.5315
_cell_angle_alpha 98.45
_cell_angle_beta 98.45
_cell_angle_gamma 134.42
loop_
_space_group_symop_operation_xyz
'x,y,z'
loop_
_atom_site_label
_atom_site_type_symbol
_atom_site_fract_x
_atom_site_fract_y
_atom_site_fract_z
_atom_site_occupancy
Th1 Th 0.0000 0.0000 0.0000 1
Cd1 Cd 0.0000 0.0000 0.5000 1
Cd2 Cd 0.0000 0.5000 0.0000 1
Cd3 Cd 0.0198 0.3616 0.3571 1
Cd4 Cd 0.2990 0.5077 0.7812 1
Cd5 Cd 0.3616 0.0198 0.3571 1
Cd6 Cd 0.4923 0.7010 0.2188 1
Cd7 Cd 0.5000 0.0000 0.0000 1
Cd8 Cd 0.5077 0.2990 0.7812 1
Cd9 Cd 0.6384 0.9802 0.6429 1
Cd10 Cd 0.7010 0.4923 0.2188 1
Cd11 Cd 0.9802 0.6384 0.6429 1
Cu1 Cu 0.5000 0.5000 0.5000 1
```

Entry 5:
Calculated powder X-ray diffraction pattern of Sc20O19 for a wavelength of 1.5418 Å, from a GGA-PBE-relaxed structure.

Main lines, low angle first (2θ = 15–90°):
2θ/deg  I_rel
34.66  48.0
40.23  100.0
58.21  57.0
69.55  18.9
73.13  17.2
86.92  7.7

Structural model:
```
data_Sc20O19
_space_group_name_H-M_alt 'P 1'
_space_group_IT_number 1
_cell_length_a 8.3870
_cell_length_b 8.3870
_cell_length_c 8.3870
_cell_angle_alpha 106.60
_cell_angle_beta 106.60
_cell_angle_gamma 115.38
loop_
_space_group_symop_operation_xyz
'x,y,z'
loop_
_atom_site_label
_atom_site_type_symbol
_atom_site_fract_x
_atom_site_fract_y
_atom_site_fract_z
_atom_site_occupancy
Sc1 Sc 0.0000 0.5000 0.5000 1
Sc2 Sc 0.0471 0.8520 0.3951 1
Sc3 Sc 0.1014 0.1988 0.3002 1
Sc4 Sc 0.1480 0.5431 0.1951 1
Sc5 Sc 0.1988 0.8986 0.0974 1
Sc6 Sc 0.2491 0.2491 0.0000 1
Sc7 Sc 0.3014 0.6025 0.9039 1
Sc8 Sc 0.3480 0.9529 0.8049 1
Sc9 Sc 0.3975 0.3014 0.6990 1
Sc10 Sc 0.4569 0.6520 0.6049 1
Sc11 Sc 0.5000 0.0000 0.5000 1
Sc12 Sc 0.5431 0.3480 0.3951 1
Sc13 Sc 0.6025 0.6986 0.3010 1
Sc14 Sc 0.6520 0.0471 0.1951 1
Sc15 Sc 0.6986 0.3975 0.0961 1
Sc16 Sc 0.7509 0.7509 0.0000 1
Sc17 Sc 0.8012 0.1014 0.9026 1
Sc18 Sc 0.8520 0.4569 0.8049 1
Sc19 Sc 0.8986 0.8012 0.6998 1
Sc20 Sc 0.9529 0.1480 0.6049 1
O1 O 0.0483 0.3526 0.8957 1
O2 O 0.0998 0.6960 0.7958 1
O3 O 0.1525 0.0483 0.6956 1
O4 O 0.1991 0.4028 0.6019 1
O5 O 0.2500 0.7500 0.5000 1
O6 O 0.3040 0.0998 0.4038 1
O7 O 0.3526 0.4569 0.3044 1
O8 O 0.4028 0.8009 0.2037 1
O9 O 0.4569 0.1525 0.1043 1
O10 O 0.5000 0.5000 0.0000 1
O11 O 0.5431 0.8475 0.8957 1
O12 O 0.5972 0.1991 0.7963 1
O13 O 0.6474 0.5431 0.6956 1
O14 O 0.6960 0.9002 0.5962 1
O15 O 0.7500 0.2500 0.5000 1
O16 O 0.8009 0.5972 0.3981 1
O17 O 0.8475 0.9517 0.3044 1
O18 O 0.9002 0.3040 0.2042 1
O19 O 0.9517 0.6474 0.1043 1
```

Entry 6:
Calculated powder X-ray diffraction pattern of CeEr5P6 for a wavelength of 1.5418 Å, from a GGA-PBE-relaxed structure.

Main lines, low angle first (2θ = 15–90°):
2θ/deg  I_rel
27.42  87.8
31.76  100.0
45.53  73.0
53.97  35.5
53.98  7.1
56.58  25.5
66.36  11.8
73.22  17.2
75.45  32.8
84.17  25.1

Structural model:
```
data_CeEr5P6
_space_group_name_H-M_alt 'P 1'
_space_group_IT_number 1
_cell_length_a 6.8999
_cell_length_b 6.8999
_cell_length_c 6.9032
_cell_angle_alpha 99.60
_cell_angle_beta 99.60
_cell_angle_gamma 119.99
loop_
_space_group_symop_operation_xyz
'x,y,z'
loop_
_atom_site_label
_atom_site_type_symbol
_atom_site_fract_x
_atom_site_fract_y
_atom_site_fract_z
_atom_site_occupancy
Ce1 Ce 0.0000 0.0000 0.0000 1
Er1 Er 0.1663 0.8337 0.5000 1
Er2 Er 0.3333 0.6667 0.0000 1
Er3 Er 0.5000 0.5000 0.5000 1
Er4 Er 0.6667 0.3333 0.0000 1
Er5 Er 0.8337 0.1663 0.5000 1
P1 P 0.0838 0.4183 0.2515 1
P2 P 0.2511 0.2511 0.7498 1
P3 P 0.4183 0.0838 0.2515 1
P4 P 0.5817 0.9162 0.7485 1
P5 P 0.7489 0.7489 0.2502 1
P6 P 0.9162 0.5817 0.7485 1
```

Entry 7:
Calculated powder X-ray diffraction pattern of AlSiNi for a wavelength of 1.5418 Å, from a GGA-PBE-relaxed structure.

Main lines, low angle first (2θ = 15–90°):
2θ/deg  I_rel
27.97  82.4
32.41  0.9
46.49  100.0
55.14  34.0
67.86  15.3
74.93  12.6
86.25  31.4

Structural model:
```
data_AlSiNi
_space_group_name_H-M_alt 'P 1'
_space_group_IT_number 1
_cell_length_a 5.5247
_cell_length_b 5.5247
_cell_length_c 5.5247
_cell_angle_alpha 90.00
_cell_angle_beta 90.00
_cell_angle_gamma 90.00
loop_
_space_group_symop_operation_xyz
'x,y,z'
loop_
_atom_site_label
_atom_site_type_symbol
_atom_site_fract_x
_atom_site_fract_y
_atom_site_fract_z
_atom_site_occupancy
Al1 Al 0.0000 0.0000 0.0000 1
Al2 Al 0.0000 0.5000 0.5000 1
Al3 Al 0.5000 0.0000 0.5000 1
Al4 Al 0.5000 0.5000 0.0000 1
Si1 Si 0.0000 0.0000 0.5000 1
Si2 Si 0.0000 0.5000 0.0000 1
Si3 Si 0.5000 0.0000 0.0000 1
Si4 Si 0.5000 0.5000 0.5000 1
Ni1 Ni 0.2500 0.2500 0.2500 1
Ni2 Ni 0.2500 0.7500 0.7500 1
Ni3 Ni 0.7500 0.2500 0.7500 1
Ni4 Ni 0.7500 0.7500 0.2500 1
```

Entry 8:
Calculated powder X-ray diffraction pattern of TbB4W2 for a wavelength of 1.5418 Å, from a GGA-PBE-relaxed structure.

Main lines, low angle first (2θ = 15–90°):
2θ/deg  I_rel
25.17  30.3
27.68  70.8
28.69  30.2
36.60  56.4
37.17  69.9
39.27  100.0
40.31  56.0
42.46  80.8
59.37  24.5
79.48  26.2

Structural model:
```
data_TbB4W2
_space_group_name_H-M_alt 'P 1'
_space_group_IT_number 1
_cell_length_a 6.9811
_cell_length_b 6.9811
_cell_length_c 5.8535
_cell_angle_alpha 101.96
_cell_angle_beta 101.96
_cell_angle_gamma 37.70
loop_
_space_group_symop_operation_xyz
'x,y,z'
loop_
_atom_site_label
_atom_site_type_symbol
_atom_site_fract_x
_atom_site_fract_y
_atom_site_fract_z
_atom_site_occupancy
Tb1 Tb 0.2314 0.7686 0.7500 1
Tb2 Tb 0.7686 0.2314 0.2500 1
B1 B 0.1724 0.5885 0.1874 1
B2 B 0.3505 0.3545 0.4240 1
B3 B 0.3545 0.3505 0.9240 1
B4 B 0.4115 0.8276 0.3126 1
B5 B 0.5885 0.1724 0.6874 1
B6 B 0.6455 0.6495 0.0760 1
B7 B 0.6495 0.6455 0.5760 1
B8 B 0.8276 0.4115 0.8126 1
W1 W 0.2095 0.2232 0.6061 1
W2 W 0.2232 0.2095 0.1061 1
W3 W 0.7768 0.7905 0.8939 1
W4 W 0.7905 0.7768 0.3939 1
```